Starting from DFT lattice parameters and positions (GGA+U), the PXRD pattern of Li7Mn2Co3O12 was calculated for Cu Kα (weighted mean of Kα1 and Kα2).

Principal peaks in the range 2θ = 10–90°, in order of rising 2θ:
| 2θ/deg | d (Å) | intensity | h k l |
| --- | --- | --- | --- |
| 18.41 | 4.819 | 1000 | 0 1 -2 |
| 35.71 | 2.515 | 277 | 0 2 2 |
| 36.61 | 2.455 | 116 | -2 1 3 |
| 43.04 | 2.102 | 301 | 2 -1 3 |
| 43.52 | 2.079 | 287 | 0 3 0 |
| 44.37 | 2.041 | 270 | 2 0 -5 |
| 62.63 | 1.483 | 77 | 2 2 3 |
| 62.82 | 1.479 | 75 | 0 1 -8 |
| 63.11 | 1.473 | 79 | 2 -4 3 |
| 63.73 | 1.460 | 75 | 2 3 -5 |
| 64.08 | 1.453 | 73 | -2 3 5 |
| 64.24 | 1.450 | 74 | -4 1 2 |

```
data_Li7Mn2Co3O12
_cell_length_a 5.8025
_cell_length_b 6.5692
_cell_length_c 12.1072
_cell_angle_alpha 99.94
_cell_angle_beta 102.19
_cell_angle_gamma 102.67
_symmetry_space_group_name_H-M 'P -1'
_symmetry_Int_Tables_number 2
loop_
_symmetry_equiv_pos_as_xyz
'x,y,z'
'-x,-y,-z'
loop_
_atom_site_label
_atom_site_fract_x
_atom_site_fract_y
_atom_site_fract_z
_atom_site_occupancy
Li1 0.0390 0.3159 0.4165 1
Li2 0.1402 0.0001 0.2596 1
Li3 0.2099 0.6703 0.0811 1
Li4 0.2502 0.9998 0.5003 1
Li5 0.2918 0.3306 0.9188 1
Li6 0.3645 0.0022 0.7439 1
Li7 0.4603 0.6842 0.5835 1
Mn1 0.1540 0.3189 0.6617 1
Mn2 0.3463 0.6807 0.3382 1
Co1 0.0000 0.0000 0.0000 1
Co2 0.0747 0.6673 0.8316 1
Co3 0.4257 0.3318 0.1675 1
Co4 0.5000 0.0000 0.0000 1
O1 0.0399 0.6628 0.2220 1
O2 0.0675 0.0263 0.6302 1
O3 0.1042 0.3332 0.0504 1
O4 0.1395 0.6634 0.4440 1
O5 0.1886 0.9962 0.8865 1
O6 0.2457 0.3483 0.2865 1
O7 0.2528 0.6508 0.7133 1
O8 0.3217 0.0041 0.1156 1
O9 0.3605 0.3369 0.5561 1
O10 0.3986 0.6709 0.9502 1
O11 0.4330 0.9735 0.3701 1
O12 0.4597 0.3375 0.7775 1
```